Computed powder XRD pattern of Tm3Ga5Au6 for Cu Kα (λ = 1.5418 Å), from a GGA-PBE-relaxed structure.

Atomic structure:
Cell: 4.3328 13.5072 9.3550 Å, 90.00 90.00 90.00°
Positions (direct):
1 Tm 0.2500 0.0723 0.2398
2 Tm 0.2500 0.4277 0.2398
3 Tm 0.2500 0.7500 0.2384
4 Tm 0.7500 0.2500 0.7616
5 Tm 0.7500 0.5723 0.7602
6 Tm 0.7500 0.9277 0.7602
7 Ga 0.2500 0.0822 0.8559
8 Ga 0.2500 0.4178 0.8559
9 Ga 0.2500 0.6421 0.5467
10 Ga 0.2500 0.7500 0.7931
11 Ga 0.2500 0.8579 0.5467
12 Ga 0.7500 0.1421 0.4533
13 Ga 0.7500 0.2500 0.2069
14 Ga 0.7500 0.3579 0.4533
15 Ga 0.7500 0.5822 0.1441
16 Ga 0.7500 0.9178 0.1441
17 Au 0.2500 0.0501 0.5885
18 Au 0.2500 0.2500 0.0259
19 Au 0.2500 0.2500 0.5120
20 Au 0.2500 0.4499 0.5885
21 Au 0.2500 0.5965 0.9990
22 Au 0.2500 0.9035 0.9990
23 Au 0.7500 0.0965 0.0010
24 Au 0.7500 0.4035 0.0010
25 Au 0.7500 0.5501 0.4115
26 Au 0.7500 0.7500 0.4880
27 Au 0.7500 0.7500 0.9741
28 Au 0.7500 0.9499 0.4115

Principal peaks in the range 2θ = 10–80°, in order of rising 2θ:
30.18 deg, intensity 17, (1 3 1)
34.54 deg, intensity 100, (1 3 2)
35.00 deg, intensity 20, (0 3 3)
35.47 deg, intensity 27, (1 0 3)
38.49 deg, intensity 16, (0 0 4)
39.30 deg, intensity 22, (1 5 0)
40.05 deg, intensity 22, (0 6 0)
40.89 deg, intensity 17, (1 3 3)
41.69 deg, intensity 39, (2 0 0)
67.10 deg, intensity 17, (1 3 6)